Rb2EuAgCl6: computed X-ray diffraction stick pattern (Cu Kα (λ = 1.5418 Å)), based on a crystal structure in the Materials Project, relaxed with GGA-PBE.
Peak positions follow from Bragg's law for the DFT cell and can differ from measured ones.

Most intense lines, 2θ = 5–70°, low angle first:
5.406 Å, intensity 24; 3.823 Å, intensity 100; 2.703 Å, intensity 66; 2.207 Å, intensity 47; 1.911 Å, intensity 45; 1.445 Å, intensity 24

```
data_Rb2EuAgCl6
_cell_length_a 7.646
_cell_length_b 7.646
_cell_length_c 7.646
_cell_angle_alpha 60.00
_cell_angle_beta 60.00
_cell_angle_gamma 60.00
_symmetry_space_group_name_H-M 'P 1'
_symmetry_Int_Tables_number 1
loop_
_symmetry_equiv_pos_as_xyz
'x,y,z'
loop_
_atom_site_label
_atom_site_fract_x
_atom_site_fract_y
_atom_site_fract_z
Rb1 0.250 0.250 0.250
Rb2 0.750 0.750 0.750
Eu1 0.000 0.000 0.000
Ag1 0.500 0.500 0.500
Cl1 0.252 0.252 0.748
Cl2 0.252 0.748 0.252
Cl3 0.252 0.748 0.748
Cl4 0.748 0.252 0.252
Cl5 0.748 0.252 0.748
Cl6 0.748 0.748 0.252
```



LiMg14V: computed X-ray diffraction stick pattern (Cu Kα (λ = 1.5418 Å)), based on a crystal structure in the Materials Project, relaxed with GGA-PBE.
Peak positions follow from Bragg's law for the DFT cell and can differ from measured ones.

Most intense lines, 2θ = 5–70°, low angle first:
2.753 Å, intensity 24; 2.526 Å, intensity 38; 2.417 Å, intensity 100; 2.405 Å, intensity 49; 1.583 Å, intensity 17; 1.436 Å, intensity 18

```
data_LiMg14V
_cell_length_a 10.104
_cell_length_b 6.331
_cell_length_c 6.331
_cell_angle_alpha 60.42
_cell_angle_beta 90.00
_cell_angle_gamma 90.00
_symmetry_space_group_name_H-M 'P 1'
_symmetry_Int_Tables_number 1
loop_
_symmetry_equiv_pos_as_xyz
'x,y,z'
loop_
_atom_site_label
_atom_site_fract_x
_atom_site_fract_y
_atom_site_fract_z
Li1 0.000 0.000 0.000
Mg1 0.000 0.000 0.502
Mg2 0.000 0.502 0.000
Mg3 0.245 0.172 0.666
Mg4 0.245 0.666 0.172
Mg5 0.246 0.665 0.665
Mg6 0.249 0.167 0.167
Mg7 0.500 0.000 0.000
Mg8 0.500 0.001 0.501
Mg9 0.500 0.500 0.500
Mg10 0.500 0.501 0.001
Mg11 0.751 0.167 0.167
Mg12 0.754 0.665 0.665
Mg13 0.755 0.172 0.666
Mg14 0.755 0.666 0.172
V1 0.000 0.501 0.501
```



Sr2NdNbO6: computed X-ray diffraction stick pattern (Cu Kα (λ = 1.5418 Å)), based on a crystal structure in the Materials Project, relaxed with GGA-PBE.
Peak positions follow from Bragg's law for the DFT cell and can differ from measured ones.

Most intense lines, 2θ = 5–70°, low angle first:
4.308 Å, intensity 8; 3.046 Å, intensity 100; 2.154 Å, intensity 33; 1.759 Å, intensity 40; 1.523 Å, intensity 20; 1.362 Å, intensity 18

```
data_Sr2NdNbO6
_cell_length_a 6.092
_cell_length_b 6.092
_cell_length_c 6.092
_cell_angle_alpha 60.00
_cell_angle_beta 60.00
_cell_angle_gamma 60.00
_symmetry_space_group_name_H-M 'P 1'
_symmetry_Int_Tables_number 1
loop_
_symmetry_equiv_pos_as_xyz
'x,y,z'
loop_
_atom_site_label
_atom_site_fract_x
_atom_site_fract_y
_atom_site_fract_z
Sr1 0.250 0.250 0.250
Sr2 0.750 0.750 0.750
Nd1 0.000 0.000 0.000
Nb1 0.500 0.500 0.500
O1 0.267 0.267 0.733
O2 0.267 0.733 0.267
O3 0.267 0.733 0.733
O4 0.733 0.267 0.267
O5 0.733 0.267 0.733
O6 0.733 0.733 0.267
```



Fe4P6SN12: computed X-ray diffraction stick pattern (Cu Kα (λ = 1.5418 Å)), based on a crystal structure in the Materials Project, relaxed with GGA-PBE.
Peak positions follow from Bragg's law for the DFT cell and can differ from measured ones.

Most intense lines, 2θ = 5–70°, low angle first:
5.546 Å, intensity 99; 5.275 Å, intensity 54; 3.260 Å, intensity 76; 2.773 Å, intensity 100; 2.129 Å, intensity 76; 2.007 Å, intensity 67

```
data_Fe4P6SN12
_cell_length_a 6.709
_cell_length_b 6.709
_cell_length_c 6.709
_cell_angle_alpha 112.46
_cell_angle_beta 112.46
_cell_angle_gamma 103.65
_symmetry_space_group_name_H-M 'P 1'
_symmetry_Int_Tables_number 1
loop_
_symmetry_equiv_pos_as_xyz
'x,y,z'
loop_
_atom_site_label
_atom_site_fract_x
_atom_site_fract_y
_atom_site_fract_z
Fe1 0.012 0.012 0.793
Fe2 0.219 0.219 0.207
Fe3 0.781 0.988 0.000
Fe4 0.988 0.781 0.000
P1 0.000 0.500 0.500
P2 0.063 0.471 0.000
P3 0.471 0.063 0.000
P4 0.500 0.000 0.500
P5 0.529 0.529 0.592
P6 0.937 0.937 0.408
S1 0.500 0.500 0.000
N1 0.019 0.534 0.764
N2 0.182 0.182 0.700
N3 0.229 0.466 0.485
N4 0.255 0.771 0.236
N5 0.466 0.229 0.485
N6 0.482 0.482 0.300
N7 0.518 0.818 0.000
N8 0.534 0.019 0.764
N9 0.745 0.981 0.515
N10 0.771 0.255 0.236
N11 0.818 0.518 0.000
N12 0.981 0.745 0.515
```



LaCeB4Rh6: computed X-ray diffraction stick pattern (Cu Kα (λ = 1.5418 Å)), based on a crystal structure in the Materials Project, relaxed with GGA-PBE.
Peak positions follow from Bragg's law for the DFT cell and can differ from measured ones.

Most intense lines, 2θ = 5–70°, low angle first:
2.615 Å, intensity 71; 2.395 Å, intensity 100; 2.070 Å, intensity 43; 1.900 Å, intensity 17; 1.566 Å, intensity 30; 1.383 Å, intensity 19

```
data_LaCeB4Rh6
_cell_length_a 3.122
_cell_length_b 5.531
_cell_length_c 9.581
_cell_angle_alpha 90.00
_cell_angle_beta 90.00
_cell_angle_gamma 90.00
_symmetry_space_group_name_H-M 'P 1'
_symmetry_Int_Tables_number 1
loop_
_symmetry_equiv_pos_as_xyz
'x,y,z'
loop_
_atom_site_label
_atom_site_fract_x
_atom_site_fract_y
_atom_site_fract_z
La1 0.000 0.000 0.000
Ce1 0.000 0.500 0.500
B1 0.000 0.000 0.334
B2 0.000 0.000 0.666
B3 0.000 0.500 0.167
B4 0.000 0.500 0.833
Rh1 0.500 0.000 0.500
Rh2 0.500 0.252 0.253
Rh3 0.500 0.252 0.747
Rh4 0.500 0.500 0.000
Rh5 0.500 0.748 0.253
Rh6 0.500 0.748 0.747
```



Sm2MgSe4: computed X-ray diffraction stick pattern (Cu Kα (λ = 1.5418 Å)), based on a crystal structure in the Materials Project, relaxed with GGA-PBE.
Peak positions follow from Bragg's law for the DFT cell and can differ from measured ones.

Most intense lines, 2θ = 5–70°, low angle first:
3.761 Å, intensity 49; 3.034 Å, intensity 48; 2.929 Å, intensity 100; 2.744 Å, intensity 77; 2.223 Å, intensity 44; 2.013 Å, intensity 84

```
data_Sm2MgSe4
_cell_length_a 13.474
_cell_length_b 8.059
_cell_length_c 13.595
_cell_angle_alpha 90.00
_cell_angle_beta 90.00
_cell_angle_gamma 90.00
_symmetry_space_group_name_H-M 'P 1'
_symmetry_Int_Tables_number 1
loop_
_symmetry_equiv_pos_as_xyz
'x,y,z'
loop_
_atom_site_label
_atom_site_fract_x
_atom_site_fract_y
_atom_site_fract_z
Sm1 0.108 0.117 0.000
Sm2 0.127 0.618 0.641
Sm3 0.134 0.371 0.306
Sm4 0.134 0.871 0.307
Sm5 0.366 0.371 0.806
Sm6 0.366 0.871 0.807
Sm7 0.373 0.618 0.141
Sm8 0.392 0.117 0.500
Sm9 0.608 0.883 0.000
Sm10 0.627 0.382 0.641
Sm11 0.634 0.129 0.307
Sm12 0.634 0.629 0.306
Sm13 0.866 0.129 0.807
Sm14 0.866 0.629 0.806
Sm15 0.873 0.382 0.141
Sm16 0.892 0.883 0.500
Mg1 0.111 0.617 0.007
Mg2 0.126 0.121 0.635
Mg3 0.374 0.121 0.135
Mg4 0.389 0.617 0.507
Mg5 0.611 0.383 0.007
Mg6 0.626 0.879 0.635
Mg7 0.874 0.879 0.135
Mg8 0.889 0.383 0.507
Se1 0.011 0.120 0.194
Se2 0.023 0.629 0.182
Se3 0.032 0.620 0.444
Se4 0.045 0.128 0.453
Se5 0.210 0.121 0.814
Se6 0.211 0.620 0.837
Se7 0.230 0.368 0.093
Se8 0.232 0.871 0.091
Se9 0.268 0.871 0.591
Se10 0.270 0.368 0.593
Se11 0.289 0.620 0.337
Se12 0.290 0.121 0.314
Se13 0.455 0.128 0.953
Se14 0.468 0.620 0.944
Se15 0.477 0.629 0.682
Se16 0.489 0.120 0.694
Se17 0.511 0.880 0.194
Se18 0.523 0.371 0.182
Se19 0.532 0.380 0.444
Se20 0.545 0.872 0.453
Se21 0.710 0.879 0.814
Se22 0.711 0.380 0.837
Se23 0.730 0.632 0.093
Se24 0.732 0.129 0.091
Se25 0.768 0.129 0.591
Se26 0.770 0.632 0.593
Se27 0.789 0.380 0.337
Se28 0.790 0.879 0.314
Se29 0.955 0.872 0.953
Se30 0.968 0.380 0.944
Se31 0.977 0.371 0.682
Se32 0.989 0.880 0.694
```



Mg6SiCO8: computed X-ray diffraction stick pattern (Cu Kα (λ = 1.5418 Å)), based on a crystal structure in the Materials Project, relaxed with GGA-PBE.
Peak positions follow from Bragg's law for the DFT cell and can differ from measured ones.

Most intense lines, 2θ = 5–70°, low angle first:
3.825 Å, intensity 4; 2.467 Å, intensity 11; 2.140 Å, intensity 100; 2.129 Å, intensity 49; 1.513 Å, intensity 28; 1.510 Å, intensity 55

```
data_Mg6SiCO8
_cell_length_a 4.280
_cell_length_b 4.280
_cell_length_c 8.518
_cell_angle_alpha 90.00
_cell_angle_beta 90.00
_cell_angle_gamma 90.00
_symmetry_space_group_name_H-M 'P 1'
_symmetry_Int_Tables_number 1
loop_
_symmetry_equiv_pos_as_xyz
'x,y,z'
loop_
_atom_site_label
_atom_site_fract_x
_atom_site_fract_y
_atom_site_fract_z
Mg1 0.000 0.000 0.000
Mg2 0.000 0.500 0.254
Mg3 0.000 0.500 0.746
Mg4 0.500 0.000 0.254
Mg5 0.500 0.000 0.746
Mg6 0.500 0.500 0.000
Si1 0.000 0.000 0.500
C1 0.500 0.500 0.500
O1 0.000 0.000 0.254
O2 0.000 0.000 0.746
O3 0.000 0.500 0.000
O4 0.000 0.500 0.500
O5 0.500 0.000 0.000
O6 0.500 0.000 0.500
O7 0.500 0.500 0.244
O8 0.500 0.500 0.756
```



Y3Si3Ni: computed X-ray diffraction stick pattern (Cu Kα (λ = 1.5418 Å)), based on a crystal structure in the Materials Project, relaxed with GGA-PBE.
Peak positions follow from Bragg's law for the DFT cell and can differ from measured ones.

Most intense lines, 2θ = 5–70°, low angle first:
3.243 Å, intensity 33; 2.703 Å, intensity 100; 2.668 Å, intensity 54; 2.381 Å, intensity 21; 2.100 Å, intensity 21; 2.072 Å, intensity 24

```
data_Y3Si3Ni
_cell_length_a 3.908
_cell_length_b 4.144
_cell_length_c 17.430
_cell_angle_alpha 90.00
_cell_angle_beta 90.00
_cell_angle_gamma 90.00
_symmetry_space_group_name_H-M 'P 1'
_symmetry_Int_Tables_number 1
loop_
_symmetry_equiv_pos_as_xyz
'x,y,z'
loop_
_atom_site_label
_atom_site_fract_x
_atom_site_fract_y
_atom_site_fract_z
Y1 0.000 0.000 0.000
Y2 0.000 0.000 0.366
Y3 0.000 0.500 0.685
Y4 0.500 0.000 0.185
Y5 0.500 0.500 0.500
Y6 0.500 0.500 0.866
Si1 0.000 0.000 0.540
Si2 0.000 0.000 0.823
Si3 0.000 0.500 0.125
Si4 0.500 0.000 0.625
Si5 0.500 0.500 0.040
Si6 0.500 0.500 0.323
Ni1 0.000 0.500 0.252
Ni2 0.500 0.000 0.752
```